No. 1
NdScCuSe3: calculated powder diffraction line list (Cu Kα), based on a DFT-relaxed cell (GGA-PBE, OQMD).

Principal peaks in the range 5° ≤ 2θ ≤ 70°, low angle first:
hkl	d (Å)	2θ (°)	Rel. int.
0 0 2	5.032	17.62	23
0 2 3	2.990	29.88	21
1 3 1	2.811	31.83	100
0 4 2	2.757	32.47	26
1 3 2	2.530	35.47	66
0 0 4	2.516	35.68	29
1 1 3	2.504	35.86	39
1 3 3	2.206	40.91	21
0 6 2	2.014	45.02	17
2 0 0	1.963	46.26	28
0 6 3	1.838	49.59	14
1 3 5	1.659	55.39	27

Structure:
```
data_NdScCuSe3
_chemical_formula_sum 'Nd4 Sc4 Cu4 Se12'
_space_group_name_H-M_alt 'C m c m'
_space_group_IT_number 63
_space_group_name_Hall '-C 2c 2'
_cell_length_a 3.9250
_cell_length_b 13.1850
_cell_length_c 10.0646
_cell_angle_alpha 90.00
_cell_angle_beta 90.00
_cell_angle_gamma 90.00
loop_
_atom_site_label
_atom_site_type_symbol
_atom_site_fract_x
_atom_site_fract_y
_atom_site_fract_z
_atom_site_occupancy
Nd1 Nd 0.0000 0.2339 0.2500 1
Sc1 Sc 0.0000 0.0000 0.0000 1
Cu1 Cu 0.0000 0.4752 0.7500 1
Se1 Se 0.0000 0.0888 0.7500 1
Se2 Se 0.0000 0.3596 0.5599 1
```

***

No. 2
TbDyIr2N2O2: calculated powder diffraction line list (Cu Kα), based on a DFT-relaxed cell (GGA-PBE, OQMD).

Principal peaks in the range 5° ≤ 2θ ≤ 70°, low angle first:
hkl	d (Å)	2θ (°)	Rel. int.
0 0 1	7.258	12.19	34
0 0 2	3.629	24.53	24
1 0 1	3.461	25.74	45
1 0 2	2.668	33.59	45
1 1 1	2.599	34.50	100
0 0 3	2.419	37.16	31
1 1 2	2.209	40.85	59
2 0 0	1.969	46.11	48
2 1 2	1.584	58.24	18
2 0 3	1.527	60.65	31
1 1 4	1.520	60.95	35
2 2 0	1.392	67.26	15

Structure:
```
data_TbDyIr2N2O2
_chemical_formula_sum 'Tb1 Dy1 Ir2 N2 O2'
_space_group_name_H-M_alt 'P 4 m m'
_space_group_IT_number 99
_cell_length_a 3.9372
_cell_length_b 3.9372
_cell_length_c 7.2579
_cell_angle_alpha 90.00
_cell_angle_beta 90.00
_cell_angle_gamma 90.00
loop_
_space_group_symop_operation_xyz
'x,y,z'
'-y,x,z'
'-x,-y,z'
'y,-x,z'
'-x,y,z'
'y,x,z'
'x,-y,z'
'-y,-x,z'
loop_
_atom_site_label
_atom_site_type_symbol
_atom_site_fract_x
_atom_site_fract_y
_atom_site_fract_z
_atom_site_occupancy
Tb1 Tb 0.0000 0.0000 0.0000 1
Dy1 Dy 0.5000 0.5000 0.7031 1
Ir1 Ir 0.0000 0.5000 0.3519 1
N1 N 0.0000 0.0000 0.4596 1
N2 N 0.5000 0.5000 0.2427 1
O1 O 0.0000 0.5000 0.8500 1
```